Dy4Tm5In: calculated powder diffractogram (λ = 1.5418 Å (Cu Kα)), based on a crystal structure in Alexandria, relaxed with GGA-PBE.
Intensities are scaled so that the largest is 100.

Atomic structure:
```
data_Dy4Tm5In
_cell_length_a 10.508
_cell_length_b 10.508
_cell_length_c 5.720
_cell_angle_alpha 90.00
_cell_angle_beta 90.00
_cell_angle_gamma 90.00
_symmetry_space_group_name_H-M 'I 4 m m'
_symmetry_Int_Tables_number 107
_symmetry_space_group_name_Hall 'I 4 -2'
loop_
_atom_site_label
_atom_site_fract_x
_atom_site_fract_y
_atom_site_fract_z
Dy1 0.000 0.315 0.000
Tm1 0.000 0.000 0.215
Tm2 0.185 0.185 0.500
In1 0.000 0.000 0.731
```

The 12 most intense peaks (2θ from 15° to 90°), in order of rising 2θ:
- 29.91°, 2.987 Å, I 100
- 31.28°, 2.860 Å, I 15
- 34.54°, 2.597 Å, I 9
- 35.75°, 2.512 Å, I 15
- 36.27°, 2.477 Å, I 40
- 48.63°, 1.872 Å, I 14
- 52.23°, 1.751 Å, I 12
- 54.84°, 1.674 Å, I 20
- 60.74°, 1.525 Å, I 12
- 61.36°, 1.511 Å, I 18
- 77.00°, 1.238 Å, I 11
- 88.21°, 1.108 Å, I 9

Dy2Tm3In3: calculated powder diffractogram (λ = 1.5418 Å (Cu Kα)), based on a crystal structure in Alexandria, relaxed with GGA-PBE.
Intensities are scaled so that the largest is 100.

Atomic structure:
```
data_Dy2Tm3In3
_cell_length_a 4.451
_cell_length_b 4.833
_cell_length_c 20.064
_cell_angle_alpha 90.00
_cell_angle_beta 90.00
_cell_angle_gamma 90.00
_symmetry_space_group_name_H-M 'I m m m'
_symmetry_Int_Tables_number 71
_symmetry_space_group_name_Hall '-I 2 2'
loop_
_atom_site_label
_atom_site_fract_x
_atom_site_fract_y
_atom_site_fract_z
Dy1 0.000 0.000 0.240
Tm1 0.000 0.000 0.000
Tm2 0.000 0.500 0.118
In1 0.000 0.000 0.500
In2 0.000 0.500 0.376
```

The 12 most intense peaks (2θ from 15° to 90°), in order of rising 2θ:
- 32.66°, 2.742 Å, I 100
- 35.80°, 2.508 Å, I 18
- 37.21°, 2.416 Å, I 18
- 40.54°, 2.225 Å, I 14
- 52.60°, 1.740 Å, I 12
- 55.18°, 1.665 Å, I 10
- 56.19°, 1.637 Å, I 11
- 62.36°, 1.489 Å, I 13
- 64.23°, 1.450 Å, I 14
- 68.44°, 1.371 Å, I 11
- 68.78°, 1.365 Å, I 12
- 86.75°, 1.123 Å, I 5

Dy2Tm3In: calculated powder diffractogram (λ = 1.5418 Å (Cu Kα)), based on a crystal structure in Alexandria, relaxed with GGA-PBE.
Intensities are scaled so that the largest is 100.

Atomic structure:
```
data_Dy2Tm3In
_cell_length_a 4.813
_cell_length_b 14.901
_cell_length_c 4.839
_cell_angle_alpha 90.00
_cell_angle_beta 90.00
_cell_angle_gamma 90.00
_symmetry_space_group_name_H-M 'C m m m'
_symmetry_Int_Tables_number 65
_symmetry_space_group_name_Hall '-C 2 2'
loop_
_atom_site_label
_atom_site_fract_x
_atom_site_fract_y
_atom_site_fract_z
Dy1 0.000 0.162 0.000
Tm1 0.000 0.000 0.500
Tm2 0.000 0.332 0.500
In1 0.000 0.500 0.000
```

The 12 most intense peaks (2θ from 15° to 90°), in order of rising 2θ:
- 31.82°, 2.813 Å, I 100
- 36.17°, 2.483 Å, I 18
- 37.16°, 2.419 Å, I 17
- 37.37°, 2.407 Å, I 16
- 52.83°, 1.733 Å, I 12
- 52.98°, 1.728 Å, I 12
- 53.72°, 1.706 Å, I 11
- 62.33°, 1.490 Å, I 14
- 63.66°, 1.462 Å, I 14
- 63.94°, 1.456 Å, I 14
- 66.48°, 1.406 Å, I 12
- 86.66°, 1.123 Å, I 6